(1)
Computed powder X-ray diffraction pattern of Sm3Mg7Ag2 for Cu Ka, from a crystal structure in Alexandria, relaxed with PBE.
No peak broadening, texture or thermal motion is included.

The 8 most intense peaks (10° ≤ 2θ ≤ 80°), low angle first:
- d 4.804, rel. 39, hkl 0 0 6
- d 3.220, rel. 28, hkl 1 0 7
- d 2.982, rel. 77, hkl 1 1 0
- d 2.534, rel. 100, hkl 1 1 6
- d 1.722, rel. 15, hkl 3 0 0
- d 1.621, rel. 25, hkl 3 0 6
- d 1.616, rel. 16, hkl 1 1 15
- d 1.491, rel. 16, hkl 2 2 0

Crystal structure
```
data_Sm3Mg7Ag2
_chemical_formula_sum 'Sm9 Mg21 Ag6'
_cell_length_a 5.9647
_cell_length_b 5.9647
_cell_length_c 28.8250
_cell_angle_alpha 90.00
_cell_angle_beta 90.00
_cell_angle_gamma 120.00
_symmetry_space_group_name_H-M 'R -3 m'
_symmetry_Int_Tables_number 166
_symmetry_space_group_name_Hall '-R 3 2"'
loop_
_atom_site_label
_atom_site_fract_x
_atom_site_fract_y
_atom_site_fract_z
Sm1 0.0000 0.0000 0.0000
Sm2 0.0000 0.0000 0.1445
Mg1 0.0000 0.0000 0.5000
Mg2 0.0028 0.5014 0.9211
Ag1 0.0000 0.0000 0.3339
```



(2)
Computed powder X-ray diffraction pattern of ScGa3Ir3 for Cu Ka, from a crystal structure in Alexandria, relaxed with PBE.
No peak broadening, texture or thermal motion is included.

The 8 most intense peaks (10° ≤ 2θ ≤ 80°), low angle first:
- d 4.760, rel. 96, hkl 1 1 0
- d 3.366, rel. 43, hkl 2 0 0
- d 3.010, rel. 71, hkl 2 1 0
- d 2.748, rel. 100, hkl 2 1 1
- d 2.129, rel. 25, hkl 3 1 0
- d 1.943, rel. 72, hkl 2 2 2
- d 1.799, rel. 57, hkl 3 2 1
- d 1.683, rel. 42, hkl 4 0 0

Crystal structure
```
data_ScGa3Ir3
_chemical_formula_sum 'Sc2 Ga6 Ir6'
_cell_length_a 6.7314
_cell_length_b 6.7314
_cell_length_c 6.7314
_cell_angle_alpha 90.00
_cell_angle_beta 90.00
_cell_angle_gamma 90.00
_symmetry_space_group_name_H-M 'P m -3 n'
_symmetry_Int_Tables_number 223
_symmetry_space_group_name_Hall '-P 4n 2 3'
loop_
_atom_site_label
_atom_site_fract_x
_atom_site_fract_y
_atom_site_fract_z
Sc1 0.0000 0.0000 0.0000
Ga1 0.0000 0.2500 0.5000
Ir1 0.0000 0.5000 0.2500
```



(3)
Computed powder X-ray diffraction pattern of La5Er4Cd4 for Cu Ka, from a crystal structure in Alexandria, relaxed with PBE.
No peak broadening, texture or thermal motion is included.

The 8 most intense peaks (10° ≤ 2θ ≤ 80°), low angle first:
- d 3.259, rel. 14, hkl 3 0 1
- d 2.890, rel. 100, hkl 2 3 1
- d 2.793, rel. 9, hkl 4 2 0
- d 2.620, rel. 39, hkl 0 0 2
- d 2.450, rel. 17, hkl 5 1 0
- d 1.789, rel. 13, hkl 5 1 2
- d 1.630, rel. 16, hkl 7 2 1
- d 1.559, rel. 16, hkl 2 3 3

Crystal structure
```
data_La5Er4Cd4
_chemical_formula_sum 'La10 Er8 Cd8'
_cell_length_a 12.4915
_cell_length_b 12.4915
_cell_length_c 5.2381
_cell_angle_alpha 90.00
_cell_angle_beta 90.00
_cell_angle_gamma 90.00
_symmetry_space_group_name_H-M 'I 4/m'
_symmetry_Int_Tables_number 87
_symmetry_space_group_name_Hall '-I 4'
loop_
_atom_site_label
_atom_site_fract_x
_atom_site_fract_y
_atom_site_fract_z
La1 0.0000 0.0000 0.0000
La2 0.1134 0.8131 0.5000
Er1 0.0959 0.5988 0.0000
Cd1 0.0917 0.2455 0.0000
```



(4)
Computed powder X-ray diffraction pattern of Rb2Au2S7 for Cu Ka, from a crystal structure in Alexandria, relaxed with PBE.
No peak broadening, texture or thermal motion is included.

The 8 most intense peaks (10° ≤ 2θ ≤ 80°), low angle first:
- d 5.381, rel. 30, hkl 0 0 1
- d 5.293, rel. 62, hkl 2 0 0
- d 3.769, rel. 42, hkl 0 2 1
- d 3.740, rel. 100, hkl 2 2 0
- d 2.811, rel. 34, hkl 2 0 -2
- d 2.777, rel. 30, hkl 2 2 1
- d 2.640, rel. 32, hkl 0 4 0
- d 1.792, rel. 26, hkl 0 0 3

Crystal structure
```
data_Rb2Au2S7
_chemical_formula_sum 'Rb4 Au4 S14'
_cell_length_a 11.2502
_cell_length_b 10.5613
_cell_length_c 5.7143
_cell_angle_alpha 90.00
_cell_angle_beta 109.65
_cell_angle_gamma 90.00
_symmetry_space_group_name_H-M 'C 1 2/m 1'
_symmetry_Int_Tables_number 12
loop_
_symmetry_equiv_pos_as_xyz
'x,y,z'
'-x,-y,-z'
'-x,y,-z'
'x,-y,z'
'x+1/2,y+1/2,z'
'-x+1/2,-y+1/2,-z'
'-x+1/2,y+1/2,-z'
'x+1/2,-y+1/2,z'
loop_
_atom_site_label
_atom_site_fract_x
_atom_site_fract_y
_atom_site_fract_z
Rb1 0.2462 0.0000 0.2012
Au1 0.0000 0.2522 0.5000
S1 0.0000 0.5000 0.0000
S2 0.0752 0.2953 0.1732
S3 0.0969 0.0000 0.6031
```



(5)
Computed powder X-ray diffraction pattern of InAgPb2I6 for Cu Ka, from a crystal structure in Alexandria, relaxed with PBE.
No peak broadening, texture or thermal motion is included.

The 8 most intense peaks (10° ≤ 2θ ≤ 80°), low angle first:
- d 5.960, rel. 41, hkl 1 1 0
- d 4.386, rel. 31, hkl 1 1 2
- d 3.569, rel. 87, hkl 2 1 2
- d 2.751, rel. 100, hkl 1 2 3
- d 2.403, rel. 21, hkl 2 3 3
- d 2.345, rel. 61, hkl 3 3 2
- d 2.125, rel. 21, hkl 2 1 4
- d 1.785, rel. 26, hkl 4 2 4

Crystal structure
```
data_InAgPb2I6
_chemical_formula_sum 'In1 Ag1 Pb2 I6'
_cell_length_a 8.1171
_cell_length_b 8.1266
_cell_length_c 8.8249
_cell_angle_alpha 62.63
_cell_angle_beta 62.62
_cell_angle_gamma 60.05
_symmetry_space_group_name_H-M 'P 1'
_symmetry_Int_Tables_number 1
loop_
_symmetry_equiv_pos_as_xyz
'x,y,z'
loop_
_atom_site_label
_atom_site_fract_x
_atom_site_fract_y
_atom_site_fract_z
In1 0.0000 0.0000 0.0000
Ag1 0.4932 0.4935 0.5193
Pb1 0.3048 0.3055 0.0845
Pb2 0.8130 0.8134 0.5608
I1 0.0983 0.4251 0.7823
I2 0.2383 0.8836 0.3052
I3 0.4247 0.6937 0.7826
I4 0.5733 0.2385 0.3048
I5 0.6934 0.0994 0.7824
I6 0.8831 0.5737 0.3051
```



(6)
Computed powder X-ray diffraction pattern of TlAs2O6 for Cu Ka, from a crystal structure in Alexandria, relaxed with PBE.
No peak broadening, texture or thermal motion is included.

The 8 most intense peaks (10° ≤ 2θ ≤ 80°), low angle first:
- d 4.319, rel. 12, hkl 1 0 0
- d 3.368, rel. 100, hkl 1 0 1
- d 2.494, rel. 27, hkl 1 1 0
- d 2.004, rel. 21, hkl 2 0 1
- d 1.828, rel. 34, hkl 2 -1 2
- d 1.656, rel. 12, hkl 1 0 3
- d 1.562, rel. 21, hkl 3 -1 1
- d 1.207, rel. 9, hkl 2 1 3

Crystal structure
```
data_TlAs2O6
_chemical_formula_sum 'Tl1 As2 O6'
_cell_length_a 4.9871
_cell_length_b 4.9871
_cell_length_c 5.3783
_cell_angle_alpha 90.00
_cell_angle_beta 90.00
_cell_angle_gamma 120.00
_symmetry_space_group_name_H-M 'P -3 1 m'
_symmetry_Int_Tables_number 162
_symmetry_space_group_name_Hall '-P 3 2'
loop_
_atom_site_label
_atom_site_fract_x
_atom_site_fract_y
_atom_site_fract_z
Tl1 0.0000 0.0000 0.0000
As1 0.3333 0.6667 0.5000
O1 0.0000 0.3821 0.6949
```



(7)
Computed powder X-ray diffraction pattern of Te2Pd5Se2 for Cu Ka, from a crystal structure in Alexandria, relaxed with PBE.
No peak broadening, texture or thermal motion is included.

The 8 most intense peaks (10° ≤ 2θ ≤ 80°), low angle first:
- d 3.247, rel. 76, hkl 2 0 -2
- d 2.515, rel. 47, hkl 3 1 -2
- d 2.489, rel. 68, hkl 3 1 1
- d 2.374, rel. 100, hkl 0 2 0
- d 2.101, rel. 80, hkl 5 1 0
- d 2.043, rel. 34, hkl 5 1 -2
- d 1.970, rel. 48, hkl 3 1 -3
- d 1.916, rel. 33, hkl 2 2 -2

Crystal structure
```
data_Te2Pd5Se2
_chemical_formula_sum 'Te4 Pd10 Se4'
_cell_length_a 12.3836
_cell_length_b 4.7466
_cell_length_c 6.6587
_cell_angle_alpha 90.00
_cell_angle_beta 108.88
_cell_angle_gamma 90.00
_symmetry_space_group_name_H-M 'C 1 2/m 1'
_symmetry_Int_Tables_number 12
loop_
_symmetry_equiv_pos_as_xyz
'x,y,z'
'-x,-y,-z'
'-x,y,-z'
'x,-y,z'
'x+1/2,y+1/2,z'
'-x+1/2,-y+1/2,-z'
'-x+1/2,y+1/2,-z'
'x+1/2,-y+1/2,z'
loop_
_atom_site_label
_atom_site_fract_x
_atom_site_fract_y
_atom_site_fract_z
Te1 0.0856 0.0000 0.3424
Pd1 0.0000 0.5000 0.0000
Pd2 0.1207 0.0000 0.9518
Pd3 0.1762 0.5000 0.4562
Se1 0.1639 0.5000 0.8412
```



(8)
Computed powder X-ray diffraction pattern of HfTh2WN5 for Cu Ka, from a crystal structure in Alexandria, relaxed with PBE.
No peak broadening, texture or thermal motion is included.

The 8 most intense peaks (10° ≤ 2θ ≤ 80°), low angle first:
- d 2.990, rel. 26, hkl 2 1 0
- d 2.967, rel. 46, hkl 0 0 2
- d 2.913, rel. 100, hkl 2 0 1
- d 2.670, rel. 54, hkl 2 1 1
- d 2.364, rel. 21, hkl 2 2 0
- d 2.106, rel. 33, hkl 2 1 2
- d 1.849, rel. 20, hkl 2 2 2
- d 1.702, rel. 22, hkl 2 0 3

Crystal structure
```
data_HfTh2WN5
_chemical_formula_sum 'Hf2 Th4 W2 N10'
_cell_length_a 6.6861
_cell_length_b 6.6861
_cell_length_c 5.9339
_cell_angle_alpha 90.00
_cell_angle_beta 90.00
_cell_angle_gamma 90.00
_symmetry_space_group_name_H-M 'P 4/m b m'
_symmetry_Int_Tables_number 127
_symmetry_space_group_name_Hall '-P 4 2ab'
loop_
_atom_site_label
_atom_site_fract_x
_atom_site_fract_y
_atom_site_fract_z
Hf1 0.0000 0.0000 0.0000
Th1 0.1696 0.3304 0.5000
W1 0.0000 0.5000 0.0000
N1 0.0000 0.0000 0.5000
N2 0.1503 0.6503 0.2301
```



(9)
Computed powder X-ray diffraction pattern of CsLaZn2Cl8 for Cu Ka, from a crystal structure in Alexandria, relaxed with PBE.
No peak broadening, texture or thermal motion is included.

The 8 most intense peaks (10° ≤ 2θ ≤ 80°), low angle first:
- d 4.602, rel. 100, hkl 1 0 4
- d 3.315, rel. 40, hkl 1 1 0
- d 3.197, rel. 31, hkl 0 1 8
- d 2.785, rel. 30, hkl 2 -1 6
- d 2.690, rel. 25, hkl 0 2 4
- d 2.089, rel. 24, hkl 2 1 4
- d 2.029, rel. 39, hkl 1 1 12
- d 1.914, rel. 27, hkl 3 0 0

Crystal structure
```
data_CsLaZn2Cl8
_chemical_formula_sum 'Cs3 La3 Zn6 Cl24'
_cell_length_a 6.6309
_cell_length_b 6.6309
_cell_length_c 30.7839
_cell_angle_alpha 90.00
_cell_angle_beta 90.00
_cell_angle_gamma 120.00
_symmetry_space_group_name_H-M 'R -3'
_symmetry_Int_Tables_number 148
_symmetry_space_group_name_Hall '-R 3'
loop_
_atom_site_label
_atom_site_fract_x
_atom_site_fract_y
_atom_site_fract_z
Cs1 0.0000 0.0000 0.0000
La1 0.0000 0.0000 0.5000
Zn1 0.0000 0.0000 0.2486
Cl1 0.0000 0.0000 0.3203
Cl2 0.0034 0.6599 0.4459
```